For RbNiRhF6, a crystal structure in Alexandria, relaxed with PBE+U gives the calculated powder XRD pattern in this record (Cu Kα (λ = 1.5418 Å)).
Peak positions follow from Bragg's law for the DFT cell and can differ from measured ones.

Structural model:
abc: 5.380 9.303 6.170
angles: 90.00 90.15 90.00
Space group C2 (No. 5)
Unique sites:
Rb (0.000, 0.000, 0.000)
Ni (0.000, 0.667, 0.500)
Rh (0.000, 0.333, 0.500)
F (0.136, 0.498, 0.677)
F (0.181, 0.183, 0.677)
F (0.186, 0.818, 0.678)

The 12 most intense peaks (10 to 80 degrees two-theta), in order of rising 2θ:
2θ = 14.36°, rel. 34, (0 0 1); 2θ = 23.95°, rel. 100, (1 1 1); 2θ = 28.94°, rel. 10, (0 0 2); 2θ = 33.34°, rel. 26, (1 3 0); 2θ = 36.46°, rel. 11, (1 3 1); 2θ = 41.46°, rel. 18, (2 2 1); 2θ = 44.66°, rel. 21, (2 0 -2); 2θ = 44.76°, rel. 29, (1 3 2); 2θ = 48.38°, rel. 12, (0 2 3); 2θ = 54.25°, rel. 11, (1 5 1); 2θ = 59.58°, rel. 14, (3 3 0); 2θ = 70.46°, rel. 10, (2 0 4)